Record 1
Theoretical powder diffractogram
Compound: Dy5BiSb4
Radiation: Cu Kα
Structure: a crystal structure in Alexandria, relaxed with PBE
Neutral-atom scattering factors, no anomalous dispersion.

Top 6 peaks for 2θ = 10–90°, most intense first:
28.69°, rel. 100; 41.03°, rel. 77; 67.29°, rel. 35; 50.83°, rel. 27; 74.74°, rel. 26; 59.41°, rel. 13

Structural model:
```
Dy5BiSb4
1.0
-2.200 3.110 11.004
2.200 -3.110 11.004
2.200 3.110 -11.004
Dy Bi Sb
5 1 4
Direct
0.000 0.000 0.000
0.200 0.200 0.000
0.397 0.397 0.000
0.603 0.603 0.000
0.800 0.800 0.000
0.500 0.000 0.500
0.100 0.600 0.500
0.299 0.799 0.500
0.701 0.201 0.500
0.900 0.400 0.500
```

Record 2
Theoretical powder diffractogram
Compound: Dy6BiSb3Te2
Radiation: Cu Kα
Structure: a crystal structure in Alexandria, relaxed with PBE
Neutral-atom scattering factors, no anomalous dispersion.

Top 6 peaks for 2θ = 10–90°, most intense first:
28.74°, rel. 100; 41.09°, rel. 76; 67.38°, rel. 23; 50.89°, rel. 20; 74.85°, rel. 17; 59.52°, rel. 13

Structural model:
```
Dy6BiSb3Te2
1.0
9.578 -2.197 0.000
9.578 2.197 0.000
-2.034 0.000 8.545
Dy Bi Sb Te
6 1 3 2
Direct
0.002 0.002 0.247
0.332 0.332 0.423
0.336 0.336 0.911
0.664 0.664 0.089
0.668 0.668 0.577
0.998 0.998 0.753
0.500 0.500 0.500
0.168 0.168 0.333
0.500 0.500 0.000
0.832 0.832 0.667
0.167 0.167 0.835
0.833 0.833 0.165
```

Record 3
Theoretical powder diffractogram
Compound: DyYBiSb
Radiation: Cu Kα
Structure: a crystal structure in Alexandria, relaxed with PBE
Neutral-atom scattering factors, no anomalous dispersion.

Top 6 peaks for 2θ = 10–90°, most intense first:
28.48°, rel. 100; 40.71°, rel. 77; 66.73°, rel. 36; 50.43°, rel. 28; 74.09°, rel. 27; 58.93°, rel. 13

Structural model:
```
DyYBiSb
1.0
4.433 0.000 0.000
0.000 4.433 0.000
0.000 0.000 6.268
Dy Y Bi Sb
1 1 1 1
Direct
0.000 0.000 0.000
0.500 0.500 0.500
0.000 0.000 0.500
0.500 0.500 0.000
```

Copy entry 1 word for word.
Theoretical powder diffractogram
Compound: Dy5BiSb4
Radiation: Cu Kα
Structure: a crystal structure in Alexandria, relaxed with PBE
Neutral-atom scattering factors, no anomalous dispersion.

Top 6 peaks for 2θ = 10–90°, most intense first:
28.69°, rel. 100; 41.03°, rel. 77; 67.29°, rel. 35; 50.83°, rel. 27; 74.74°, rel. 26; 59.41°, rel. 13

Structural model:
```
Dy5BiSb4
1.0
-2.200 3.110 11.004
2.200 -3.110 11.004
2.200 3.110 -11.004
Dy Bi Sb
5 1 4
Direct
0.000 0.000 0.000
0.200 0.200 0.000
0.397 0.397 0.000
0.603 0.603 0.000
0.800 0.800 0.000
0.500 0.000 0.500
0.100 0.600 0.500
0.299 0.799 0.500
0.701 0.201 0.500
0.900 0.400 0.500
```